[1]
Starting from the GGA-PBE geometry in the Materials Project, the X-ray powder pattern of K2LiS2O4F2 was calculated for Cu Kα (λ = 1.5418 Å).

Cell and atoms:
a = 4.547 Å, b = 5.878 Å, c = 8.452 Å
α = 99.67°, β = 95.48°, γ = 93.08°
Positions (direct):
K  0.000  0.000  0.000
K  0.444  0.502  0.713
Li  0.500  0.815  0.222
S  0.667  0.374  0.324
S  0.960  0.970  0.577
O  0.258  0.036  0.540
O  0.448  0.562  0.338
O  0.530  0.149  0.219
O  0.959  0.785  0.677
F  0.507  0.736  0.006
F  0.924  0.225  0.747

Top 10 peaks for 10° ≤ 2θ ≤ 80°, by angle:
| two_theta | d [Å] | Rel. int. |
| --- | --- | --- |
| 10.68 | 8.284 | 29.4 |
| 21.41 | 4.150 | 26.4 |
| 24.15 | 3.686 | 100.0 |
| 25.89 | 3.441 | 66.8 |
| 26.20 | 3.401 | 44.0 |
| 27.64 | 3.228 | 24.4 |
| 28.62 | 3.119 | 40.3 |
| 32.42 | 2.761 | 23.1 |
| 40.30 | 2.238 | 26.6 |
| 43.77 | 2.068 | 25.5 |

---

[2]
Starting from the GGA-PBE geometry in the Materials Project, the X-ray powder pattern of SrNi5N4 was calculated for Cu Kα (λ = 1.5418 Å).

Cell and atoms:
a = 5.566 Å, b = 8.455 Å, c = 5.212 Å
α = 90.00°, β = 90.00°, γ = 90.00°
Positions (direct):
Sr  0.250  0.250  0.149
Sr  0.750  0.750  0.851
Ni  0.019  0.595  0.343
Ni  0.019  0.905  0.343
Ni  0.250  0.750  0.700
Ni  0.481  0.595  0.343
Ni  0.481  0.905  0.343
Ni  0.519  0.095  0.657
Ni  0.519  0.405  0.657
Ni  0.750  0.250  0.300
Ni  0.981  0.095  0.657
Ni  0.981  0.405  0.657
N  0.131  0.750  0.100
N  0.250  0.534  0.623
N  0.250  0.966  0.623
N  0.369  0.750  0.100
N  0.631  0.250  0.900
N  0.750  0.034  0.377
N  0.750  0.466  0.377
N  0.869  0.250  0.900

Top 10 peaks for 10° ≤ 2θ ≤ 80°, by angle:
| two_theta | d [Å] | Rel. int. |
| --- | --- | --- |
| 17.01 | 5.212 | 31.5 |
| 25.68 | 3.469 | 18.4 |
| 27.16 | 3.283 | 27.4 |
| 36.07 | 2.490 | 17.5 |
| 36.23 | 2.479 | 79.1 |
| 36.60 | 2.455 | 17.9 |
| 38.17 | 2.358 | 100.0 |
| 38.74 | 2.325 | 32.5 |
| 54.51 | 1.683 | 28.5 |
| 58.57 | 1.576 | 40.2 |

---

[3]
Starting from the GGA-PBE geometry in the Materials Project, the X-ray powder pattern of Te2Mo2WSe2S2 was calculated for Cu Kα (λ = 1.5418 Å).

Cell and atoms:
a = 3.350 Å, b = 3.350 Å, c = 31.038 Å
α = 90.00°, β = 90.00°, γ = 120.00°
Positions (direct):
Te  0.000  0.000  0.000
Te  0.000  0.000  0.122
Mo  0.667  0.333  0.061
Mo  0.667  0.333  0.598
W  0.000  0.000  0.830
Se  0.667  0.333  0.776
Se  0.667  0.333  0.884
S  0.000  0.000  0.550
S  0.000  0.000  0.647

Top 10 peaks for 10° ≤ 2θ ≤ 80°, by angle:
| two_theta | d [Å] | Rel. int. |
| --- | --- | --- |
| 11.40 | 7.759 | 100.0 |
| 14.27 | 6.208 | 19.1 |
| 30.82 | 2.901 | 32.1 |
| 30.96 | 2.888 | 21.3 |
| 35.48 | 2.530 | 52.0 |
| 37.03 | 2.428 | 62.7 |
| 42.66 | 2.119 | 28.1 |
| 44.81 | 2.023 | 39.4 |
| 54.84 | 1.674 | 34.0 |
| 77.31 | 1.234 | 12.9 |

---

[4]
Starting from the GGA-PBE geometry in the Materials Project, the X-ray powder pattern of Gd2Zr2O7 was calculated for Cu Kα (λ = 1.5418 Å).

Cell and atoms:
a = 7.509 Å, b = 6.986 Å, c = 12.177 Å
α = 90.00°, β = 98.70°, γ = 90.00°
Positions (direct):
Gd  0.025  0.110  0.361
Gd  0.025  0.390  0.861
Gd  0.246  0.179  0.113
Gd  0.246  0.321  0.613
Gd  0.754  0.679  0.387
Gd  0.754  0.821  0.887
Gd  0.975  0.610  0.139
Gd  0.975  0.890  0.639
Zr  0.251  0.642  0.398
Zr  0.251  0.858  0.898
Zr  0.448  0.612  0.114
Zr  0.448  0.888  0.614
Zr  0.552  0.112  0.386
Zr  0.552  0.388  0.886
Zr  0.749  0.142  0.102
Zr  0.749  0.358  0.602
O  0.024  0.729  0.825
O  0.024  0.771  0.325
O  0.122  0.103  0.932
O  0.122  0.397  0.432
O  0.187  0.001  0.529
O  0.187  0.499  0.029
O  0.302  0.107  0.297
O  0.302  0.393  0.797
O  0.313  0.561  0.248
O  0.313  0.939  0.748
O  0.339  0.619  0.576
O  0.339  0.881  0.076
O  0.493  0.680  0.936
O  0.493  0.820  0.436
O  0.507  0.180  0.564
O  0.507  0.320  0.064
O  0.661  0.119  0.924
O  0.661  0.381  0.424
O  0.687  0.061  0.252
O  0.687  0.439  0.752
O  0.698  0.607  0.203
O  0.698  0.893  0.703
O  0.813  0.501  0.971
O  0.813  0.999  0.471
O  0.878  0.603  0.568
O  0.878  0.897  0.068
O  0.976  0.229  0.675
O  0.976  0.271  0.175

Top 10 peaks for 10° ≤ 2θ ≤ 80°, by angle:
| two_theta | d [Å] | Rel. int. |
| --- | --- | --- |
| 26.57 | 3.354 | 70.4 |
| 27.22 | 3.276 | 22.9 |
| 29.21 | 3.057 | 100.0 |
| 29.69 | 3.009 | 56.9 |
| 32.84 | 2.727 | 57.2 |
| 34.03 | 2.634 | 28.4 |
| 47.31 | 1.922 | 20.9 |
| 49.08 | 1.856 | 13.7 |
| 50.03 | 1.823 | 15.1 |
| 55.58 | 1.654 | 16.0 |

---

[5]
Starting from the GGA-PBE geometry in the Materials Project, the X-ray powder pattern of LiPH2S3N7 was calculated for Cu Kα (λ = 1.5418 Å).

Cell and atoms:
a = 6.599 Å, b = 6.755 Å, c = 13.524 Å
α = 85.21°, β = 87.87°, γ = 74.64°
Positions (direct):
Li  0.105  0.250  0.419
Li  0.895  0.750  0.581
P  0.478  0.685  0.820
P  0.522  0.315  0.180
H  0.131  0.683  0.852
H  0.293  0.571  0.951
H  0.707  0.429  0.049
H  0.869  0.317  0.148
S  0.276  0.337  0.101
S  0.379  0.896  0.699
S  0.490  0.423  0.324
S  0.510  0.577  0.676
S  0.621  0.104  0.301
S  0.724  0.663  0.899
N  0.011  0.451  0.679
N  0.051  0.197  0.913
N  0.108  0.063  0.291
N  0.199  0.768  0.530
N  0.272  0.662  0.886
N  0.383  0.238  0.496
N  0.439  0.836  0.104
N  0.561  0.164  0.896
N  0.617  0.762  0.504
N  0.728  0.338  0.114
N  0.801  0.232  0.470
N  0.892  0.937  0.709
N  0.949  0.803  0.087
N  0.989  0.549  0.321

Top 10 peaks for 10° ≤ 2θ ≤ 80°, by angle:
| two_theta | d [Å] | Rel. int. |
| --- | --- | --- |
| 13.92 | 6.362 | 68.8 |
| 14.68 | 6.034 | 100.0 |
| 15.59 | 5.684 | 46.8 |
| 17.53 | 5.058 | 23.4 |
| 18.46 | 4.805 | 41.0 |
| 30.20 | 2.960 | 43.6 |
| 31.48 | 2.842 | 36.4 |
| 32.77 | 2.733 | 45.0 |
| 33.24 | 2.695 | 29.6 |
| 35.22 | 2.548 | 33.5 |

---

[6]
Starting from the GGA-PBE geometry in the Materials Project, the X-ray powder pattern of ZrZnNi4 was calculated for Cu Kα (λ = 1.5418 Å).

Cell and atoms:
a = 4.793 Å, b = 4.793 Å, c = 4.793 Å
α = 60.00°, β = 60.00°, γ = 60.00°
Positions (direct):
Zr  0.000  0.000  0.000
Zn  0.750  0.750  0.750
Ni  0.376  0.376  0.376
Ni  0.376  0.376  0.873
Ni  0.376  0.873  0.376
Ni  0.873  0.376  0.376

Top 8 peaks for 10° ≤ 2θ ≤ 80°, by angle:
| two_theta | d [Å] | Rel. int. |
| --- | --- | --- |
| 22.72 | 3.914 | 1.3 |
| 26.29 | 3.389 | 1.1 |
| 37.53 | 2.397 | 36.1 |
| 44.32 | 2.044 | 100.0 |
| 46.40 | 1.957 | 32.3 |
| 54.12 | 1.695 | 1.9 |
| 67.71 | 1.384 | 11.9 |
| 72.45 | 1.305 | 28.3 |

---

[7]
Starting from the GGA-PBE geometry in the Materials Project, the X-ray powder pattern of Rb2NaTaBr6 was calculated for Cu Kα (λ = 1.5418 Å).

Cell and atoms:
a = 7.834 Å, b = 7.834 Å, c = 7.834 Å
α = 60.00°, β = 60.00°, γ = 60.00°
Positions (direct):
Rb  0.250  0.250  0.250
Rb  0.750  0.750  0.750
Na  0.000  0.000  0.000
Ta  0.500  0.500  0.500
Br  0.262  0.262  0.738
Br  0.262  0.738  0.262
Br  0.262  0.738  0.738
Br  0.738  0.262  0.262
Br  0.738  0.262  0.738
Br  0.738  0.738  0.262

Top 10 peaks for 10° ≤ 2θ ≤ 80°, by angle:
| two_theta | d [Å] | Rel. int. |
| --- | --- | --- |
| 13.84 | 6.396 | 49.3 |
| 16.00 | 5.539 | 28.7 |
| 22.70 | 3.917 | 30.3 |
| 26.69 | 3.340 | 17.3 |
| 27.90 | 3.198 | 56.2 |
| 32.32 | 2.770 | 100.0 |
| 46.36 | 1.959 | 70.4 |
| 54.98 | 1.670 | 22.0 |
| 57.64 | 1.599 | 23.9 |
| 76.98 | 1.239 | 29.6 |

---

[8]
Starting from the GGA-PBE geometry in the Materials Project, the X-ray powder pattern of SrN was calculated for Cu Kα (λ = 1.5418 Å).

Cell and atoms:
a = 13.692 Å, b = 3.797 Å, c = 6.761 Å
α = 90.00°, β = 94.84°, γ = 90.00°
Positions (direct):
Sr  0.146  0.000  0.406
Sr  0.153  0.500  0.889
Sr  0.347  0.000  0.111
Sr  0.354  0.500  0.594
Sr  0.646  0.500  0.406
Sr  0.653  0.000  0.889
Sr  0.847  0.500  0.111
Sr  0.854  0.000  0.594
N  0.023  0.500  0.582
N  0.246  0.500  0.249
N  0.254  0.000  0.751
N  0.477  0.000  0.418
N  0.523  0.000  0.582
N  0.746  0.000  0.249
N  0.754  0.500  0.751
N  0.977  0.500  0.418

Top 10 peaks for 10° ≤ 2θ ≤ 80°, by angle:
| two_theta | d [Å] | Rel. int. |
| --- | --- | --- |
| 12.98 | 6.822 | 36.7 |
| 26.13 | 3.411 | 32.2 |
| 28.02 | 3.185 | 81.6 |
| 28.55 | 3.127 | 42.8 |
| 30.58 | 2.924 | 43.0 |
| 32.81 | 2.729 | 100.0 |
| 34.17 | 2.624 | 21.6 |
| 39.14 | 2.301 | 18.9 |
| 47.00 | 1.933 | 31.2 |
| 47.91 | 1.899 | 18.1 |